This entry pairs a crystal structure of LiSmPuGe with its calculated powder XRD pattern. Radiation: Cu Kα X-rays. Structure: a crystal structure in Alexandria, relaxed with PBE.
Intensities are scaled so that the largest is 100.

Main lines, in order of rising 2θ (10 to 90 degrees two-theta):
2theta	d [Å]	intensity
24.62	3.616	52
35.10	2.557	100
50.48	1.808	18
56.95	1.617	22
62.97	1.476	37
84.79	1.143	17

Structure:
Lattice parameters (Å, degrees): 5.113 5.113 5.113 60.00 60.00 60.00
Positions (direct):
Li (0.000, 0.000, 0.000)
Sm (0.250, 0.250, 0.250)
Pu (0.750, 0.750, 0.750)
Ge (0.500, 0.500, 0.500)